# NbGaNiRu
Simulated PXRD pattern, Cu Kα X-rays. Input: a crystal structure in Alexandria, relaxed with PBE.
Lines closer than 0.1° are merged.

```
data_NbGaNiRu
_cell_length_a 3.973
_cell_length_b 3.973
_cell_length_c 7.271
_cell_angle_alpha 90.00
_cell_angle_beta 90.00
_cell_angle_gamma 90.00
_space_group_name_H-M_alt 'I -4 m 2'
_space_group_IT_number 119
_space_group_name_Hall 'I -4 -2'
loop_
_atom_site_label
_atom_site_type_symbol
_atom_site_fract_x
_atom_site_fract_y
_atom_site_fract_z
Nb1 Nb 0.000 0.000 0.000
Ga1 Ga 0.000 0.000 0.500
Ni1 Ni 0.000 0.500 0.750
Ru1 Ru 0.000 0.500 0.250
```

The 6 most intense peaks (2θ = 15–90°), by intensity:
hkl 1 1 2, 2θ 40.59, intensity 100
hkl 2 0 0, 2θ 45.68, intensity 35
hkl 3 1 2, 2θ 80.98, intensity 25
hkl 2 0 4, 2θ 70.18, intensity 19
hkl 0 0 4, 2θ 50.19, intensity 13
hkl 2 2 0, 2θ 66.58, intensity 11